For V12Ga3Pd, a crystal structure in Alexandria, relaxed with GGA-PBE gives the calculated PXRD pattern in this record (Cu Kα, 1.54184 Å).

Structure:
a = 4.776 Å, b = 4.777 Å, c = 9.615 Å
α = 90.00°, β = 90.00°, γ = 90.00°
Space group Pmmm (No. 47)
Inequivalent atoms, fractional coordinates:
V 0.000 0.000 0.120 [2 per cell]
V 0.000 0.000 0.370 [2 per cell]
V 0.248 0.500 0.251 [4 per cell]
V 0.500 0.248 0.500 [2 per cell]
V 0.500 0.249 0.000 [2 per cell]
Ga 0.000 0.500 0.500 [1 per cell]
Ga 0.500 0.000 0.251 [2 per cell]
Pd 0.000 0.500 0.000 [1 per cell]

Top 12 peaks for 2θ from 10° to 90°, by intensity:
- (2 1 2), 2θ 46.52, I 100
- (1 2 0), 2θ 42.28, I 77
- (1 1 4), 2θ 46.36, I 52
- (2 0 0), 2θ 37.66, I 47
- (0 1 4), 2θ 42.08, I 38
- (0 0 4), 2θ 37.41, I 24
- (3 2 2), 2θ 74.25, I 24
- (1 2 6), 2θ 73.94, I 23
- (1 3 4), 2θ 74.13, I 23
- (1 1 0), 2θ 26.33, I 20
- (4 0 0), 2θ 80.41, I 14
- (0 3 4), 2θ 71.00, I 7


For YGa6Pd4, a crystal structure in Alexandria, relaxed with GGA-PBE gives the calculated PXRD pattern in this record (Cu Kα, 1.54184 Å).

Structure:
a = 7.4405 Å, b = 7.4405 Å, c = 3.9738 Å
α = 90.00°, β = 90.00°, γ = 120.00°
Space group P-6m2 (No. 187)
Inequivalent atoms, fractional coordinates:
Y 0.0000 0.0000 0.0000 [1 per cell]
Ga 0.1950 0.3900 0.5000 [3 per cell]
Ga 0.5337 0.0673 0.0000 [3 per cell]
Pd 0.3333 0.6667 0.0000 [1 per cell]
Pd 0.4012 0.2006 0.5000 [3 per cell]

Top 12 peaks for 2θ from 10° to 90°, by intensity:
- (2 0 1), 2θ 35.88, I 100
- (2 1 1), 2θ 43.59, I 71
- (2 1 0), 2θ 36.91, I 49
- (1 1 1), 2θ 32.98, I 44
- (2 2 0), 2θ 48.97, I 38
- (0 0 2), 2θ 45.66, I 37
- (3 0 1), 2θ 48.16, I 35
- (5 0 1), 2θ 77.95, I 31
- (2 2 2), 2θ 69.18, I 26
- (2 1 2), 2θ 60.10, I 23
- (2 1 3), 2θ 82.97, I 14
- (1 0 0), 2θ 13.74, I 12


For Y2GaPd, a crystal structure in Alexandria, relaxed with GGA-PBE gives the calculated PXRD pattern in this record (Cu Kα, 1.54184 Å).

Structure:
a = 5.935 Å, b = 4.470 Å, c = 7.545 Å
α = 90.00°, β = 111.11°, γ = 90.00°
Space group P2_1/m (No. 11)
Inequivalent atoms, fractional coordinates:
Y 0.181 0.250 0.414 [2 per cell]
Y 0.280 0.750 0.073 [2 per cell]
Ga 0.379 0.750 0.701 [2 per cell]
Pd 0.159 0.250 0.795 [2 per cell]

Top 12 peaks for 2θ from 10° to 90°, by intensity:
- (0 1 2), 2θ 32.37, I 100
- (2 1 0), 2θ 38.24, I 59
- (1 1 1), 2θ 31.15, I 50
- (0 2 0), 2θ 40.36, I 48
- (2 1 -2), 2θ 38.98, I 40
- (1 1 -3), 2θ 41.26, I 38
- (2 0 -2), 2θ 33.19, I 30
- (1 0 3), 2θ 47.21, I 26
- (1 2 3), 2θ 63.81, I 20
- (3 1 -3), 2θ 55.02, I 18
- (1 0 -1), 2θ 16.42, I 15
- (2 2 -2), 2θ 53.21, I 15


> Number 2 is which compound?

YGa6Pd4